Entry 1:
For CsNbI, the GGA-PBE geometry in Alexandria gives the computed XRD peak list in this record (λ = 1.5418 Å (Cu Kα)).
Kinematic intensities with the Lorentz-polarization factor, no thermal factor.

Principal peaks in the range 15 to 90 degrees two-theta, by angle:
4.848 Å, 18.3 deg, rel. 545, (2 0 1); 3.663 Å, 24.3 deg, rel. 241, (0 0 2); 3.394 Å, 26.3 deg, rel. 545, (4 0 -2); 3.380 Å, 26.4 deg, rel. 228, (1 1 -1); 3.146 Å, 28.4 deg, rel. 257, (3 1 0); 3.100 Å, 28.8 deg, rel. 1000, (3 1 -1); 3.033 Å, 29.5 deg, rel. 516, (6 0 -1); 2.719 Å, 32.9 deg, rel. 305, (3 1 1); 2.689 Å, 33.3 deg, rel. 372, (1 1 -2); 2.238 Å, 40.3 deg, rel. 279, (5 1 1); 2.198 Å, 41.1 deg, rel. 199, (3 1 2); 1.844 Å, 49.4 deg, rel. 347, (7 1 -3)

Cell and atoms:
a b c (Å): 18.247 3.760 7.754
angles (deg): 90.00 109.20 90.00
Space group Cm (No. 8)
Inequivalent atoms, fractional coordinates:
Cs (0.000, 0.000, 0.000) (multiplicity 2)
Cs (0.221, 0.000, 0.511) (multiplicity 2)
Nb (0.010, 0.500, 0.509) (multiplicity 2)
Nb (0.410, 0.500, 0.494) (multiplicity 2)
I (0.143, 0.500, 0.835) (multiplicity 2)
I (0.363, 0.000, 0.197) (multiplicity 2)



Entry 2:
For Li3B4C4, the GGA-PBE geometry in Alexandria gives the computed XRD peak list in this record (λ = 1.5418 Å (Cu Kα)).
Kinematic intensities with the Lorentz-polarization factor, no thermal factor.

Principal peaks in the range 15 to 90 degrees two-theta, by angle:
5.094 Å, 17.4 deg, rel. 14, (1 1 0); 3.600 Å, 24.7 deg, rel. 1000, (0 4 0); 3.461 Å, 25.7 deg, rel. 12, (1 1 1); 2.358 Å, 38.2 deg, rel. 82, (2 0 1); 2.241 Å, 40.2 deg, rel. 28, (2 2 1); 1.973 Å, 46.0 deg, rel. 524, (2 4 1); 1.800 Å, 50.7 deg, rel. 173, (0 8 0); 1.431 Å, 65.2 deg, rel. 15, (2 8 1); 1.362 Å, 69.0 deg, rel. 173, (2 0 3); 1.274 Å, 74.5 deg, rel. 93, (4 4 0); 1.200 Å, 79.9 deg, rel. 14, (0 12 0); 1.121 Å, 86.9 deg, rel. 66, (0 4 4)

Cell and atoms:
a b c (Å): 5.446 14.402 4.717
angles (deg): 90.00 90.00 90.00
Space group Cmm2 (No. 35)
Inequivalent atoms, fractional coordinates:
Li (0.000, 0.124, 0.000) (multiplicity 4)
Li (0.241, 0.375, 0.499) (multiplicity 8)
B (0.000, 0.000, 0.334) (multiplicity 2)
B (0.000, 0.249, 0.664) (multiplicity 4)
B (0.000, 0.500, 0.330) (multiplicity 2)
B (0.246, 0.500, 0.836) (multiplicity 4)
B (0.250, 0.250, 0.161) (multiplicity 4)
C (0.000, 0.000, 0.669) (multiplicity 2)
C (0.000, 0.246, 0.331) (multiplicity 4)
C (0.000, 0.500, 0.662) (multiplicity 2)
C (0.249, 0.000, 0.167) (multiplicity 4)
C (0.250, 0.250, 0.829) (multiplicity 4)



Entry 3:
For CeTmSO2, the GGA-PBE geometry in Alexandria gives the computed XRD peak list in this record (λ = 1.5418 Å (Cu Kα)).
Kinematic intensities with the Lorentz-polarization factor, no thermal factor.

Principal peaks in the range 15 to 90 degrees two-theta, by angle:
3.594 Å, 24.8 deg, rel. 203, (0 0 2); 3.316 Å, 26.9 deg, rel. 1000, (1 1 0); 2.799 Å, 32.0 deg, rel. 470, (2 0 -2); 2.721 Å, 32.9 deg, rel. 422, (1 0 2); 2.689 Å, 33.3 deg, rel. 447, (1 1 -2); 2.666 Å, 33.6 deg, rel. 312, (0 1 2); 2.399 Å, 37.5 deg, rel. 247, (2 1 0); 1.987 Å, 45.7 deg, rel. 218, (0 2 0); 1.900 Å, 47.9 deg, rel. 182, (1 0 -4); 1.829 Å, 49.9 deg, rel. 250, (3 1 -2); 1.792 Å, 51.0 deg, rel. 293, (2 1 2); 1.620 Å, 56.8 deg, rel. 180, (2 2 -2)

Cell and atoms:
a b c (Å): 6.365 3.973 7.602
angles (deg): 90.00 108.99 90.00
Space group P2_1/m (No. 11)
Inequivalent atoms, fractional coordinates:
Ce (0.209, 0.250, 0.435) (multiplicity 2)
Tm (0.180, 0.250, 0.922) (multiplicity 2)
S (0.453, 0.750, 0.756) (multiplicity 2)
O (0.013, 0.750, 0.885) (multiplicity 2)
O (0.019, 0.750, 0.375) (multiplicity 2)



Entry 4:
For CrCd8, the GGA-PBE geometry in Alexandria gives the computed XRD peak list in this record (λ = 1.5418 Å (Cu Kα)).
Kinematic intensities with the Lorentz-polarization factor, no thermal factor.

Principal peaks in the range 15 to 90 degrees two-theta, by angle:
3.955 Å, 22.5 deg, rel. 14, (1 0 1); 3.023 Å, 29.5 deg, rel. 17, (2 1 1); 2.541 Å, 35.3 deg, rel. 1000, (3 0 1); 2.210 Å, 40.8 deg, rel. 329, (3 3 0); 2.181 Å, 41.4 deg, rel. 160, (0 0 2); 1.563 Å, 59.1 deg, rel. 104, (6 0 0); 1.552 Å, 59.6 deg, rel. 205, (3 3 2); 1.331 Å, 70.8 deg, rel. 237, (6 3 1); 1.318 Å, 71.6 deg, rel. 117, (3 0 3); 1.270 Å, 74.7 deg, rel. 102, (6 0 2); 1.105 Å, 88.5 deg, rel. 33, (6 6 0); 1.091 Å, 90.0 deg, rel. 17, (0 0 4)

Cell and atoms:
a b c (Å): 9.376 9.376 4.362
angles (deg): 90.00 90.00 90.00
Space group I4/mmm (No. 139)
Inequivalent atoms, fractional coordinates:
Cr (0.000, 0.000, 0.000) (multiplicity 2)
Cd (0.000, 0.329, 0.000) (multiplicity 8)
Cd (0.163, 0.163, 0.500) (multiplicity 8)



Entry 5:
For CsPdO, the GGA-PBE geometry in Alexandria gives the computed XRD peak list in this record (λ = 1.5418 Å (Cu Kα)).
Kinematic intensities with the Lorentz-polarization factor, no thermal factor.

Principal peaks in the range 15 to 90 degrees two-theta, by angle:
3.643 Å, 24.4 deg, rel. 242, (1 0 1); 3.380 Å, 26.4 deg, rel. 276, (1 0 -2); 3.211 Å, 27.8 deg, rel. 288, (0 0 2); 3.100 Å, 28.8 deg, rel. 552, (1 1 0); 3.044 Å, 29.3 deg, rel. 1000, (2 0 -1); 2.596 Å, 34.6 deg, rel. 177, (1 1 1); 2.495 Å, 36.0 deg, rel. 204, (1 1 -2); 2.426 Å, 37.1 deg, rel. 462, (0 1 2); 1.956 Å, 46.4 deg, rel. 268, (2 1 1); 1.844 Å, 49.4 deg, rel. 166, (2 1 -3); 1.780 Å, 51.3 deg, rel. 205, (3 1 -1); 1.581 Å, 58.4 deg, rel. 178, (2 2 -1)

Cell and atoms:
a b c (Å): 6.111 3.699 6.910
angles (deg): 90.00 111.59 90.00
Space group P2_1/m (No. 11)
Inequivalent atoms, fractional coordinates:
Cs (0.172, 0.250, 0.314) (multiplicity 2)
Pd (0.409, 0.250, 0.852) (multiplicity 2)
O (0.338, 0.750, 0.719) (multiplicity 2)



Entry 6:
For LaHoZnNi, the GGA-PBE geometry in Alexandria gives the computed XRD peak list in this record (λ = 1.5418 Å (Cu Kα)).
Kinematic intensities with the Lorentz-polarization factor, no thermal factor.

Principal peaks in the range 15 to 90 degrees two-theta, by angle:
4.116 Å, 21.6 deg, rel. 8, (1 1 1); 3.565 Å, 25.0 deg, rel. 171, (2 0 0); 2.521 Å, 35.6 deg, rel. 1000, (2 2 0); 2.058 Å, 44.0 deg, rel. 52, (2 2 2); 1.782 Å, 51.3 deg, rel. 175, (4 0 0); 1.594 Å, 57.8 deg, rel. 73, (4 2 0); 1.455 Å, 64.0 deg, rel. 353, (4 2 2); 1.260 Å, 75.4 deg, rel. 108, (4 4 0); 1.188 Å, 80.9 deg, rel. 37, (6 0 0); 1.127 Å, 86.3 deg, rel. 154, (6 2 0)

Cell and atoms:
a b c (Å): 7.130 7.130 7.130
angles (deg): 90.00 90.00 90.00
Space group F-43m (No. 216)
Inequivalent atoms, fractional coordinates:
La (0.000, 0.000, 0.000) (multiplicity 4)
Ho (0.000, 0.000, 0.500) (multiplicity 4)
Zn (0.250, 0.250, 0.750) (multiplicity 4)
Ni (0.250, 0.250, 0.250) (multiplicity 4)



Entry 7:
For K9Cd4Hg, the GGA-PBE geometry in Alexandria gives the computed XRD peak list in this record (λ = 1.5418 Å (Cu Kα)).
Kinematic intensities with the Lorentz-polarization factor, no thermal factor.

Principal peaks in the range 15 to 90 degrees two-theta, by angle:
5.677 Å, 15.6 deg, rel. 702, (0 0 2); 4.516 Å, 19.7 deg, rel. 353, (2 0 1); 3.153 Å, 28.3 deg, rel. 490, (3 0 1); 3.110 Å, 28.7 deg, rel. 1000, (2 1 2); 2.996 Å, 29.8 deg, rel. 573, (2 0 3); 2.843 Å, 31.5 deg, rel. 241, (2 2 0); 2.831 Å, 31.6 deg, rel. 225, (0 0 4); 2.655 Å, 33.8 deg, rel. 569, (3 1 1); 2.535 Å, 35.4 deg, rel. 207, (1 1 4); 2.460 Å, 36.5 deg, rel. 289, (3 1 2); 2.213 Å, 40.8 deg, rel. 243, (3 1 3); 1.575 Å, 58.6 deg, rel. 191, (3 3 4)

Cell and atoms:
a b c (Å): 11.3716 11.3716 11.3249
angles (deg): 90.00 90.00 120.00
Space group P6_3/mmc (No. 194)
Inequivalent atoms, fractional coordinates:
K (0.0784, 0.5392, 0.2500) (multiplicity 6)
K (0.1879, 0.3758, 0.5593) (multiplicity 12)
Cd (0.0000, 0.0000, 0.0000) (multiplicity 2)
Cd (0.0957, 0.1915, 0.2500) (multiplicity 6)
Hg (0.3333, 0.6667, 0.7500) (multiplicity 2)



Entry 8:
For Ba2PmCrN4, the GGA-PBE geometry in Alexandria gives the computed XRD peak list in this record (λ = 1.5418 Å (Cu Kα)).
Kinematic intensities with the Lorentz-polarization factor, no thermal factor.

Principal peaks in the range 15 to 90 degrees two-theta, by angle:
3.376 Å, 26.4 deg, rel. 616, (2 1 0); 3.112 Å, 28.7 deg, rel. 934, (0 2 1); 2.899 Å, 30.8 deg, rel. 1000, (2 1 1); 2.830 Å, 31.6 deg, rel. 497, (0 0 2); 2.169 Å, 41.6 deg, rel. 306, (2 1 2); 2.077 Å, 43.6 deg, rel. 324, (2 3 0); 1.893 Å, 48.1 deg, rel. 157, (4 0 0); 1.683 Å, 54.5 deg, rel. 186, (0 2 3); 1.674 Å, 54.8 deg, rel. 294, (2 3 2); 1.647 Å, 55.8 deg, rel. 199, (2 1 3); 1.618 Å, 56.9 deg, rel. 275, (4 2 1); 1.347 Å, 69.8 deg, rel. 157, (2 5 1)

Cell and atoms:
a b c (Å): 7.573 7.452 5.659
angles (deg): 90.00 90.00 90.00
Space group Pmn2_1 (No. 31)
Inequivalent atoms, fractional coordinates:
Ba (0.248, 0.157, 0.000) (multiplicity 4)
Pm (0.000, 0.372, 0.520) (multiplicity 2)
Cr (0.000, 0.650, 0.044) (multiplicity 2)
N (0.000, 0.423, 0.939) (multiplicity 2)
N (0.000, 0.643, 0.356) (multiplicity 2)
N (0.200, 0.765, 0.975) (multiplicity 4)



Entry 9:
For TlSb, the GGA-PBE geometry in Alexandria gives the computed XRD peak list in this record (λ = 1.5418 Å (Cu Kα)).
Kinematic intensities with the Lorentz-polarization factor, no thermal factor.

Principal peaks in the range 15 to 90 degrees two-theta, by angle:
3.237 Å, 27.6 deg, rel. 355, (2 2 1); 3.074 Å, 29.0 deg, rel. 833, (3 2 0); 2.805 Å, 31.9 deg, rel. 1000, (2 1 2); 2.754 Å, 32.5 deg, rel. 600, (2 3 0); 2.727 Å, 32.8 deg, rel. 307, (1 3 1); 2.710 Å, 33.1 deg, rel. 669, (0 2 2); 2.686 Å, 33.4 deg, rel. 718, (4 1 1); 2.599 Å, 34.5 deg, rel. 204, (3 0 2); 1.776 Å, 51.4 deg, rel. 213, (4 1 3); 1.725 Å, 53.1 deg, rel. 255, (3 4 2); 1.471 Å, 63.2 deg, rel. 214, (3 2 4); 1.431 Å, 65.2 deg, rel. 218, (2 3 4)

Cell and atoms:
a b c (Å): 12.366 9.229 6.698
angles (deg): 90.00 90.00 90.00
Space group Pbcm (No. 57)
Inequivalent atoms, fractional coordinates:
Tl (0.131, 0.250, 0.000) (multiplicity 4)
Tl (0.173, 0.654, 0.250) (multiplicity 4)
Tl (0.324, 0.042, 0.250) (multiplicity 4)
Sb (0.038, 0.544, 0.750) (multiplicity 4)
Sb (0.401, 0.062, 0.750) (multiplicity 4)
Sb (0.452, 0.750, 0.000) (multiplicity 4)



Entry 10:
For Mg2NbSi2Ir5, the GGA-PBE geometry in Alexandria gives the computed XRD peak list in this record (λ = 1.5418 Å (Cu Kα)).
Kinematic intensities with the Lorentz-polarization factor, no thermal factor.

Principal peaks in the range 15 to 90 degrees two-theta, by angle:
4.211 Å, 21.1 deg, rel. 334, (2 1 0); 3.523 Å, 25.3 deg, rel. 684, (0 0 1); 2.977 Å, 30.0 deg, rel. 232, (3 1 0); 2.702 Å, 33.2 deg, rel. 202, (2 1 1); 2.611 Å, 34.3 deg, rel. 287, (3 2 0); 2.284 Å, 39.5 deg, rel. 469, (4 1 0); 2.274 Å, 39.6 deg, rel. 1000, (3 1 1); 2.105 Å, 43.0 deg, rel. 295, (4 2 0); 2.098 Å, 43.1 deg, rel. 485, (3 2 1); 1.916 Å, 47.4 deg, rel. 400, (4 1 1); 1.762 Å, 51.9 deg, rel. 239, (0 0 2); 1.246 Å, 76.5 deg, rel. 332, (5 5 1)

Cell and atoms:
a b c (Å): 9.416 9.416 3.523
angles (deg): 90.00 90.00 90.00
Space group P4/mbm (No. 127)
Inequivalent atoms, fractional coordinates:
Mg (0.173, 0.327, 0.000) (multiplicity 4)
Nb (0.000, 0.000, 0.000) (multiplicity 2)
Si (0.125, 0.625, 0.000) (multiplicity 4)
Ir (0.000, 0.500, 0.500) (multiplicity 2)
Ir (0.073, 0.793, 0.500) (multiplicity 8)



Entry 11:
For Rb2ReSF6, the GGA-PBE geometry in Alexandria gives the computed XRD peak list in this record (λ = 1.5418 Å (Cu Kα)).
Kinematic intensities with the Lorentz-polarization factor, no thermal factor.

Principal peaks in the range 15 to 90 degrees two-theta, by angle:
5.607 Å, 15.8 deg, rel. 834, (1 0 1); 3.503 Å, 25.4 deg, rel. 549, (2 0 0); 3.400 Å, 26.2 deg, rel. 1000, (1 1 2); 2.971 Å, 30.1 deg, rel. 204, (2 1 1); 2.477 Å, 36.3 deg, rel. 370, (2 2 0); 2.337 Å, 38.5 deg, rel. 162, (0 0 4); 2.002 Å, 45.3 deg, rel. 388, (3 1 2); 1.944 Å, 46.7 deg, rel. 191, (2 0 4); 1.903 Å, 47.8 deg, rel. 130, (3 2 1); 1.700 Å, 53.9 deg, rel. 207, (2 2 4); 1.567 Å, 59.0 deg, rel. 129, (4 2 0); 1.318 Å, 71.6 deg, rel. 130, (5 1 2)

Cell and atoms:
a b c (Å): 7.006 7.006 9.349
angles (deg): 90.00 90.00 90.00
Space group I4/mmm (No. 139)
Inequivalent atoms, fractional coordinates:
Rb (0.000, 0.500, 0.250) (multiplicity 4)
Re (0.000, 0.000, 0.000) (multiplicity 2)
S (0.000, 0.000, 0.500) (multiplicity 2)
F (0.000, 0.000, 0.210) (multiplicity 4)
F (0.198, 0.198, 0.000) (multiplicity 8)



Copy entry 10 word for word.
For Mg2NbSi2Ir5, the GGA-PBE geometry in Alexandria gives the computed XRD peak list in this record (λ = 1.5418 Å (Cu Kα)).
Kinematic intensities with the Lorentz-polarization factor, no thermal factor.

Principal peaks in the range 15 to 90 degrees two-theta, by angle:
4.211 Å, 21.1 deg, rel. 334, (2 1 0); 3.523 Å, 25.3 deg, rel. 684, (0 0 1); 2.977 Å, 30.0 deg, rel. 232, (3 1 0); 2.702 Å, 33.2 deg, rel. 202, (2 1 1); 2.611 Å, 34.3 deg, rel. 287, (3 2 0); 2.284 Å, 39.5 deg, rel. 469, (4 1 0); 2.274 Å, 39.6 deg, rel. 1000, (3 1 1); 2.105 Å, 43.0 deg, rel. 295, (4 2 0); 2.098 Å, 43.1 deg, rel. 485, (3 2 1); 1.916 Å, 47.4 deg, rel. 400, (4 1 1); 1.762 Å, 51.9 deg, rel. 239, (0 0 2); 1.246 Å, 76.5 deg, rel. 332, (5 5 1)

Cell and atoms:
a b c (Å): 9.416 9.416 3.523
angles (deg): 90.00 90.00 90.00
Space group P4/mbm (No. 127)
Inequivalent atoms, fractional coordinates:
Mg (0.173, 0.327, 0.000) (multiplicity 4)
Nb (0.000, 0.000, 0.000) (multiplicity 2)
Si (0.125, 0.625, 0.000) (multiplicity 4)
Ir (0.000, 0.500, 0.500) (multiplicity 2)
Ir (0.073, 0.793, 0.500) (multiplicity 8)